Structure and calculated X-ray diffraction stick pattern of Li2Cu2F5 (a crystal structure in the Materials Project, relaxed with PBE; λ = 1.5418 Å (Cu Kα)).
Lines closer than 0.1° are merged.

Structure:
```
data_Li2Cu2F5
_symmetry_space_group_name_H-M 'P 1'
_symmetry_Int_Tables_number 1
_symmetry_space_group_name_Hall 'P 1'
_cell_length_a 3.0063
_cell_length_b 6.9359
_cell_length_c 10.1498
_cell_angle_alpha 93.19
_cell_angle_beta 90.03
_cell_angle_gamma 97.01
loop_
_atom_site_label
_atom_site_type_symbol
_atom_site_fract_x
_atom_site_fract_y
_atom_site_fract_z
Li1 Li 0.1919 0.1960 0.3155
Li2 Li 0.2608 0.5868 0.8907
Li3 Li 0.7392 0.4132 0.1093
Li4 Li 0.8081 0.8040 0.6845
Cu1 Cu 0.2532 0.0958 0.8864
Cu2 Cu 0.2617 0.6517 0.3846
Cu3 Cu 0.7383 0.3483 0.6154
Cu4 Cu 0.7468 0.9042 0.1136
F1 F 0.0453 0.8663 0.2925
F2 F 0.2090 0.3336 0.9754
F3 F 0.2645 0.4763 0.2377
F4 F 0.2887 0.7317 0.5620
F5 F 0.3321 0.8488 0.8199
F6 F 0.6679 0.1512 0.1801
F7 F 0.7113 0.2683 0.4380
F8 F 0.7355 0.5237 0.7623
F9 F 0.7910 0.6664 0.0246
F10 F 0.9547 0.1337 0.7075
```

The 10 most intense peaks (2θ from 5° to 70°), in order of rising 2θ:
| two_theta | I (rel.) |
| --- | --- |
| 15.98 | 100 |
| 28.79 | 30 |
| 30.60 | 33 |
| 32.30 | 43 |
| 34.78 | 33 |
| 35.08 | 80 |
| 35.43 | 12 |
| 39.85 | 11 |
| 53.42 | 11 |
| 62.62 | 11 |

Structure and calculated X-ray diffraction stick pattern of Li2CuF4 (a crystal structure in the Materials Project, relaxed with PBE; λ = 1.5418 Å (Cu Kα)).
Lines closer than 0.1° are merged.

Structure:
```
data_Li2CuF4
_symmetry_space_group_name_H-M 'P 1'
_symmetry_Int_Tables_number 1
_symmetry_space_group_name_Hall 'P 1'
_cell_length_a 5.5959
_cell_length_b 5.6022
_cell_length_c 11.0564
_cell_angle_alpha 90.00
_cell_angle_beta 110.96
_cell_angle_gamma 90.00
loop_
_atom_site_label
_atom_site_type_symbol
_atom_site_fract_x
_atom_site_fract_y
_atom_site_fract_z
Li1 Li 0.1504 0.1220 0.2282
Li2 Li 0.1504 0.3780 0.7282
Li3 Li 0.3381 0.2409 0.9977
Li4 Li 0.3381 0.2591 0.4977
Li5 Li 0.6619 0.7409 0.5023
Li6 Li 0.6619 0.7591 0.0023
Li7 Li 0.8496 0.6220 0.2718
Li8 Li 0.8496 0.8780 0.7718
Cu1 Cu 0.2559 0.6700 0.1204
Cu2 Cu 0.2559 0.8300 0.6204
Cu3 Cu 0.7441 0.1700 0.3796
Cu4 Cu 0.7441 0.3300 0.8796
F1 F 0.0205 0.1773 0.8429
F2 F 0.0205 0.3227 0.3429
F3 F 0.1073 0.1398 0.6019
F4 F 0.1073 0.3602 0.1019
F5 F 0.4093 0.5341 0.6091
F6 F 0.4093 0.9659 0.1091
F7 F 0.4353 0.0209 0.3780
F8 F 0.4353 0.4791 0.8780
F9 F 0.5647 0.5209 0.1220
F10 F 0.5647 0.9791 0.6220
F11 F 0.5907 0.0341 0.8909
F12 F 0.5907 0.4659 0.3909
F13 F 0.8927 0.6398 0.8981
F14 F 0.8927 0.8602 0.3981
F15 F 0.9795 0.6773 0.6571
F16 F 0.9795 0.8227 0.1571
```

The 10 most intense peaks (2θ from 5° to 70°), in order of rising 2θ:
| two_theta | I (rel.) |
| --- | --- |
| 18.01 | 31 |
| 19.37 | 80 |
| 23.28 | 38 |
| 23.43 | 100 |
| 28.32 | 61 |
| 34.76 | 62 |
| 35.94 | 17 |
| 38.53 | 22 |
| 47.38 | 19 |
| 55.76 | 17 |

Structure and calculated X-ray diffraction stick pattern of Li2Cu2F7 (a crystal structure in the Materials Project, relaxed with PBE; λ = 1.5418 Å (Cu Kα)).
Lines closer than 0.1° are merged.

Structure:
```
data_Li2Cu2F7
_symmetry_space_group_name_H-M 'P 1'
_symmetry_Int_Tables_number 1
_symmetry_space_group_name_Hall 'P 1'
_cell_length_a 5.3338
_cell_length_b 6.4457
_cell_length_c 8.7051
_cell_angle_alpha 72.42
_cell_angle_beta 74.17
_cell_angle_gamma 84.70
loop_
_atom_site_label
_atom_site_type_symbol
_atom_site_fract_x
_atom_site_fract_y
_atom_site_fract_z
Li1 Li 0.0449 0.2409 0.3585
Li2 Li 0.4068 0.5888 0.7337
Li3 Li 0.5932 0.4112 0.2663
Li4 Li 0.9551 0.7591 0.6415
Cu1 Cu 0.1962 0.9931 0.8291
Cu2 Cu 0.2876 0.7900 0.3037
Cu3 Cu 0.7124 0.2100 0.6963
Cu4 Cu 0.8038 0.0069 0.1709
F1 F 0.0547 0.1113 0.6054
F2 F 0.0963 0.7192 0.8402
F3 F 0.1738 0.9083 0.0881
F4 F 0.2353 0.5014 0.3025
F5 F 0.3176 0.7009 0.5292
F6 F 0.3476 0.2679 0.7992
F7 F 0.4345 0.0850 0.2613
F8 F 0.5655 0.9150 0.7387
F9 F 0.6524 0.7321 0.2008
F10 F 0.6824 0.2991 0.4708
F11 F 0.7647 0.4986 0.6975
F12 F 0.8262 0.0917 0.9119
F13 F 0.9037 0.2808 0.1598
F14 F 0.9453 0.8887 0.3946
```

The 10 most intense peaks (2θ from 5° to 70°), in order of rising 2θ:
| two_theta | I (rel.) |
| --- | --- |
| 14.42 | 100 |
| 15.43 | 77 |
| 22.17 | 60 |
| 22.45 | 44 |
| 22.71 | 32 |
| 24.40 | 47 |
| 25.17 | 23 |
| 41.24 | 41 |
| 44.06 | 44 |
| 44.59 | 41 |

Structure and calculated X-ray diffraction stick pattern of Li2Cu2F5 (a crystal structure in the Materials Project, relaxed with PBE; λ = 1.5418 Å (Cu Kα)).
Lines closer than 0.1° are merged.

Structure:
```
data_Li2Cu2F5
_symmetry_space_group_name_H-M 'P 1'
_symmetry_Int_Tables_number 1
_symmetry_space_group_name_Hall 'P 1'
_cell_length_a 17.8356
_cell_length_b 2.9275
_cell_length_c 7.7467
_cell_angle_alpha 90.00
_cell_angle_beta 90.00
_cell_angle_gamma 90.00
loop_
_atom_site_label
_atom_site_type_symbol
_atom_site_fract_x
_atom_site_fract_y
_atom_site_fract_z
Li1 Li 0.0259 0.2500 0.1470
Li2 Li 0.1270 0.2500 0.8625
Li3 Li 0.3730 0.7500 0.3625
Li4 Li 0.4741 0.7500 0.6470
Li5 Li 0.5259 0.2500 0.3530
Li6 Li 0.6270 0.2500 0.6375
Li7 Li 0.8730 0.7500 0.1375
Li8 Li 0.9741 0.7500 0.8530
Cu1 Cu 0.0861 0.7500 0.5055
Cu2 Cu 0.1979 0.7500 0.1762
Cu3 Cu 0.3021 0.2500 0.6762
Cu4 Cu 0.4139 0.2500 0.0055
Cu5 Cu 0.5861 0.7500 0.9945
Cu6 Cu 0.6979 0.7500 0.3238
Cu7 Cu 0.8021 0.2500 0.8238
Cu8 Cu 0.9139 0.2500 0.4945
F1 F 0.0138 0.7500 0.3238
F2 F 0.0678 0.7500 0.9930
F3 F 0.1460 0.7500 0.7019
F4 F 0.1582 0.2500 0.3258
F5 F 0.2149 0.2500 0.0122
F6 F 0.2851 0.7500 0.5122
F7 F 0.3418 0.7500 0.8258
F8 F 0.3540 0.2500 0.2019
F9 F 0.4322 0.2500 0.4930
F10 F 0.4862 0.2500 0.8238
F11 F 0.5138 0.7500 0.1762
F12 F 0.5678 0.7500 0.5070
F13 F 0.6460 0.7500 0.7981
F14 F 0.6582 0.2500 0.1742
F15 F 0.7149 0.2500 0.4878
F16 F 0.7851 0.7500 0.9878
F17 F 0.8418 0.7500 0.6742
F18 F 0.8540 0.2500 0.2981
F19 F 0.9322 0.2500 0.0070
F20 F 0.9862 0.2500 0.6762
```

The 10 most intense peaks (2θ from 5° to 70°), in order of rising 2θ:
| two_theta | I (rel.) |
| --- | --- |
| 12.46 | 73 |
| 15.15 | 38 |
| 23.01 | 48 |
| 25.07 | 33 |
| 27.52 | 77 |
| 32.21 | 100 |
| 38.16 | 65 |
| 41.55 | 51 |
| 43.76 | 73 |
| 47.21 | 47 |

Structure and calculated X-ray diffraction stick pattern of Li2CuF4 (a crystal structure in the Materials Project, relaxed with PBE; λ = 1.5418 Å (Cu Kα)).
Lines closer than 0.1° are merged.

Structure:
```
data_Li2CuF4
_symmetry_space_group_name_H-M 'P 1'
_symmetry_Int_Tables_number 1
_symmetry_space_group_name_Hall 'P 1'
_cell_length_a 5.7369
_cell_length_b 5.2360
_cell_length_c 5.8111
_cell_angle_alpha 90.00
_cell_angle_beta 118.61
_cell_angle_gamma 90.00
loop_
_atom_site_label
_atom_site_type_symbol
_atom_site_fract_x
_atom_site_fract_y
_atom_site_fract_z
Li1 Li 0.0000 0.2107 0.0000
Li2 Li 0.0000 0.7893 0.5000
Li3 Li 0.2097 0.2705 0.5635
Li4 Li 0.2097 0.7295 0.0635
Cu1 Cu 0.5610 0.2555 0.1038
Cu2 Cu 0.5610 0.7445 0.6038
F1 F 0.2117 0.4193 0.8811
F2 F 0.2117 0.5807 0.3811
F3 F 0.3756 0.0517 0.2427
F4 F 0.3756 0.9483 0.7427
F5 F 0.6916 0.4277 0.8971
F6 F 0.6916 0.5723 0.3971
F7 F 0.9082 0.0943 0.2871
F8 F 0.9082 0.9057 0.7871
```

The 10 most intense peaks (2θ from 5° to 70°), in order of rising 2θ:
| two_theta | I (rel.) |
| --- | --- |
| 17.61 | 57 |
| 24.36 | 100 |
| 24.71 | 75 |
| 30.79 | 17 |
| 34.93 | 25 |
| 39.72 | 17 |
| 49.92 | 21 |
| 50.63 | 32 |
| 51.39 | 18 |
| 62.27 | 19 |

Structure and calculated X-ray diffraction stick pattern of Li4CuF5 (a crystal structure in the Materials Project, relaxed with PBE; λ = 1.5418 Å (Cu Kα)).
Lines closer than 0.1° are merged.

Structure:
```
data_Li4CuF5
_symmetry_space_group_name_H-M 'P 1'
_symmetry_Int_Tables_number 1
_symmetry_space_group_name_Hall 'P 1'
_cell_length_a 5.1989
_cell_length_b 5.1989
_cell_length_c 5.1989
_cell_angle_alpha 98.92
_cell_angle_beta 98.92
_cell_angle_gamma 133.63
loop_
_atom_site_label
_atom_site_type_symbol
_atom_site_fract_x
_atom_site_fract_y
_atom_site_fract_z
Li1 Li 0.1072 0.3074 0.4145
Li2 Li 0.3074 0.8928 0.2002
Li3 Li 0.6926 0.1072 0.7998
Li4 Li 0.8928 0.6926 0.5855
Cu1 Cu 0.5000 0.5000 0.0000
F1 F 0.0000 0.0000 0.0000
F2 F 0.1777 0.6176 0.7953
F3 F 0.3824 0.1777 0.5601
F4 F 0.6176 0.8223 0.4399
F5 F 0.8223 0.3824 0.2047
```

The 10 most intense peaks (2θ from 5° to 70°), in order of rising 2θ:
| two_theta | I (rel.) |
| --- | --- |
| 18.57 | 68 |
| 25.44 | 64 |
| 26.37 | 36 |
| 36.97 | 47 |
| 37.64 | 23 |
| 42.29 | 100 |
| 44.25 | 37 |
| 53.79 | 19 |
| 61.34 | 24 |
| 62.87 | 51 |

Structure and calculated X-ray diffraction stick pattern of Li2Cu2F7 (a crystal structure in the Materials Project, relaxed with PBE; λ = 1.5418 Å (Cu Kα)).
Lines closer than 0.1° are merged.

Structure:
```
data_Li2Cu2F7
_symmetry_space_group_name_H-M 'P 1'
_symmetry_Int_Tables_number 1
_symmetry_space_group_name_Hall 'P 1'
_cell_length_a 7.0936
_cell_length_b 7.0936
_cell_length_c 7.0936
_cell_angle_alpha 60.00
_cell_angle_beta 60.00
_cell_angle_gamma 60.00
loop_
_atom_site_label
_atom_site_type_symbol
_atom_site_fract_x
_atom_site_fract_y
_atom_site_fract_z
Li1 Li 0.0000 0.0000 0.0000
Li2 Li 0.0000 0.0000 0.5000
Li3 Li 0.0000 0.5000 0.0000
Li4 Li 0.5000 0.0000 0.0000
Cu1 Cu 0.0000 0.5000 0.5000
Cu2 Cu 0.5000 0.0000 0.5000
Cu3 Cu 0.5000 0.5000 0.0000
Cu4 Cu 0.5000 0.5000 0.5000
F1 F 0.1250 0.1250 0.1250
F2 F 0.1712 0.1712 0.5788
F3 F 0.1712 0.5788 0.1712
F4 F 0.1712 0.5788 0.5788
F5 F 0.4212 0.4212 0.8288
F6 F 0.4212 0.8288 0.4212
F7 F 0.4212 0.8288 0.8288
F8 F 0.5788 0.1712 0.1712
F9 F 0.5788 0.1712 0.5788
F10 F 0.5788 0.5788 0.1712
F11 F 0.8288 0.4212 0.4212
F12 F 0.8288 0.4212 0.8288
F13 F 0.8288 0.8288 0.4212
F14 F 0.8750 0.8750 0.8750
```

The 10 most intense peaks (2θ from 5° to 70°), in order of rising 2θ:
| two_theta | I (rel.) |
| --- | --- |
| 15.30 | 100 |
| 29.53 | 80 |
| 30.88 | 74 |
| 47.07 | 23 |
| 51.53 | 60 |
| 54.08 | 16 |
| 60.52 | 10 |
| 61.29 | 28 |
| 64.34 | 3 |
| 66.57 | 13 |

Structure and calculated X-ray diffraction stick pattern of Li2Cu2F5 (a crystal structure in the Materials Project, relaxed with PBE; λ = 1.5418 Å (Cu Kα)).
Lines closer than 0.1° are merged.

Structure:
```
data_Li2Cu2F5
_symmetry_space_group_name_H-M 'P 1'
_symmetry_Int_Tables_number 1
_symmetry_space_group_name_Hall 'P 1'
_cell_length_a 10.7982
_cell_length_b 3.0351
_cell_length_c 12.2082
_cell_angle_alpha 90.00
_cell_angle_beta 90.00
_cell_angle_gamma 90.00
loop_
_atom_site_label
_atom_site_type_symbol
_atom_site_fract_x
_atom_site_fract_y
_atom_site_fract_z
Li1 Li 0.0351 0.2213 0.0000
Li2 Li 0.2160 0.2189 0.6482
Li3 Li 0.2840 0.7189 0.1482
Li4 Li 0.4649 0.7213 0.5000
Li5 Li 0.5351 0.2787 0.0000
Li6 Li 0.7160 0.2811 0.6482
Li7 Li 0.7840 0.7811 0.1482
Li8 Li 0.9649 0.7787 0.5000
Cu1 Cu 0.0037 0.2964 0.2629
Cu2 Cu 0.2442 0.1857 0.3849
Cu3 Cu 0.2558 0.6857 0.8849
Cu4 Cu 0.4963 0.7964 0.7629
Cu5 Cu 0.5037 0.2036 0.2629
Cu6 Cu 0.7442 0.3143 0.3849
Cu7 Cu 0.7558 0.8143 0.8849
Cu8 Cu 0.9963 0.7036 0.7629
F1 F 0.0624 0.2847 0.4193
F2 F 0.0826 0.7392 0.6237
F3 F 0.1256 0.2349 0.8239
F4 F 0.1680 0.7134 0.0237
F5 F 0.1864 0.2059 0.2281
F6 F 0.3136 0.7059 0.7281
F7 F 0.3320 0.2134 0.5237
F8 F 0.3744 0.7349 0.3239
F9 F 0.4174 0.2392 0.1237
F10 F 0.4376 0.7847 0.9193
F11 F 0.5624 0.2153 0.4193
F12 F 0.5826 0.7608 0.6237
F13 F 0.6256 0.2651 0.8239
F14 F 0.6680 0.7866 0.0237
F15 F 0.6864 0.2941 0.2281
F16 F 0.8136 0.7941 0.7281
F17 F 0.8320 0.2866 0.5237
F18 F 0.8744 0.7651 0.3239
F19 F 0.9174 0.2608 0.1237
F20 F 0.9376 0.7153 0.9193
```

The 10 most intense peaks (2θ from 5° to 70°), in order of rising 2θ:
| two_theta | I (rel.) |
| --- | --- |
| 14.51 | 100 |
| 21.98 | 46 |
| 30.35 | 75 |
| 33.73 | 34 |
| 34.69 | 19 |
| 40.68 | 22 |
| 45.58 | 40 |
| 47.78 | 22 |
| 50.89 | 21 |
| 64.39 | 20 |